The following is a theoretical powder diffraction line list of BaFeIO6. It was derived from a DFT-relaxed cell (PBE+U, Alexandria), using copper Kα.
Peak positions follow from Bragg's law for the DFT cell and can differ from measured ones.

```
data_BaFeIO6
_chemical_formula_sum 'Ba2 Fe2 I2 O12'
_cell_length_a 5.172
_cell_length_b 8.964
_cell_length_c 5.869
_cell_angle_alpha 90.00
_cell_angle_beta 90.15
_cell_angle_gamma 90.00
_symmetry_space_group_name_H-M 'C 1 2 1'
_symmetry_Int_Tables_number 5
_symmetry_space_group_name_Hall 'C 2y'
loop_
_atom_site_label
_atom_site_type_symbol
_atom_site_fract_x
_atom_site_fract_y
_atom_site_fract_z
Ba1 Ba 0.000 0.000 0.000
Fe1 Fe 0.000 0.335 0.500
I1 I 0.000 0.667 0.500
O1 O 0.117 0.503 0.315
O2 O 0.188 0.803 0.311
O3 O 0.200 0.190 0.313
```

Principal peaks in the range 5 to 70 degrees two-theta, sorted by position:
15.10 deg, 5.869 Å, intensity 9, (0 0 1); 25.00 deg, 3.561 Å, intensity 100, (1 1 1); 30.46 deg, 2.934 Å, intensity 10, (0 0 2); 34.68 deg, 2.587 Å, intensity 27, (1 3 0); 43.22 deg, 2.093 Å, intensity 19, (0 4 1); 46.80 deg, 1.941 Å, intensity 30, (1 3 -2); 46.89 deg, 1.938 Å, intensity 8, (2 0 2); 50.94 deg, 1.793 Å, intensity 12, (1 1 3); 56.56 deg, 1.627 Å, intensity 20, (2 4 -1); 62.15 deg, 1.494 Å, intensity 9, (3 3 0)